Starting from a structure optimized by DFT (PBE), the powder X-ray diffraction pattern of GaGeW was simulated for Cu Kα, 1.54184 Å.
Lines closer than 0.1° are merged.

Main lines, low angle first (2θ from 10° to 90°):
d [Å]	2θ/deg	I/Imax
3.906	22.77	44
2.794	32.04	19
2.272	39.66	92
2.255	39.98	100
1.755	52.12	29
1.601	57.58	31
1.305	72.40	31
1.302	72.62	17
1.188	80.96	25
1.128	86.27	11

Structural model:
Unit cell a=4.5101 b=4.5101 c=2.7938 alpha=90.00 beta=90.00 gamma=120.00
Space group P3m1 (No. 156)
Inequivalent atoms, fractional coordinates:
Ga1 0.0000 0.0000 0.0000 x1
Ge1 0.6667 0.3333 0.5043 x1
W1 0.3333 0.6667 0.5012 x1

***

Starting from a structure optimized by DFT (PBE), the powder X-ray diffraction pattern of Y7Ga2Ge2 was simulated for Cu Kα, 1.54184 Å.
Lines closer than 0.1° are merged.

Main lines, low angle first (2θ from 10° to 90°):
d [Å]	2θ/deg	I/Imax
3.450	25.83	46
3.181	28.05	50
3.116	28.64	49
2.978	30.01	25
2.697	33.22	66
2.413	37.26	50
2.376	37.86	100
2.033	44.57	19
1.969	46.09	18
1.787	51.11	21

Structural model:
Unit cell a=7.877 b=10.787 c=7.150 alpha=90.00 beta=90.00 gamma=90.00
Space group Cmmm (No. 65)
Inequivalent atoms, fractional coordinates:
Y1 0.000 0.000 0.000 x2
Y2 0.000 0.500 0.264 x4
Y3 0.250 0.250 0.278 x8
Ga1 0.169 0.000 0.500 x4
Ge1 0.000 0.289 0.000 x4

***

Starting from a structure optimized by DFT (PBE), the powder X-ray diffraction pattern of Y3GaGe3 was simulated for Cu Kα, 1.54184 Å.
Lines closer than 0.1° are merged.

Main lines, low angle first (2θ from 10° to 90°):
d [Å]	2θ/deg	I/Imax
4.259	20.86	52
2.948	30.32	93
2.788	32.10	62
2.459	36.55	100
2.424	37.09	23
2.025	44.74	48
1.888	48.20	89
1.681	54.61	22
1.264	75.16	23
1.260	75.43	22

Structural model:
Unit cell a=8.5175 b=8.5175 c=5.8952 alpha=90.00 beta=90.00 gamma=120.00
Space group P6_3/m (No. 176)
Inequivalent atoms, fractional coordinates:
Y1 0.0572 0.3648 0.2500 x6
Ga1 0.3333 0.6667 0.7500 x2
Ge1 0.0550 0.3599 0.7500 x6

***

Starting from a structure optimized by DFT (PBE), the powder X-ray diffraction pattern of Y4Ga5Ge6 was simulated for Cu Kα, 1.54184 Å.
Lines closer than 0.1° are merged.

Main lines, low angle first (2θ from 10° to 90°):
d [Å]	2θ/deg	I/Imax
3.136	28.46	22
2.927	30.54	37
2.886	30.99	63
2.773	32.28	34
2.756	32.49	30
2.648	33.85	33
2.495	35.99	100
2.319	38.83	73
2.128	42.48	28
2.049	44.20	70

Structural model:
Unit cell a=4.098 b=19.093 c=16.639 alpha=90.00 beta=90.00 gamma=90.00
Space group Cmc2_1 (No. 36)
Inequivalent atoms, fractional coordinates:
Y1 0.000 0.020 0.000 x4
Y2 0.000 0.053 0.284 x4
Y3 0.000 0.163 0.805 x4
Y4 0.000 0.191 0.469 x4
Ga1 0.000 0.132 0.137 x4
Ga2 0.000 0.299 0.128 x4
Ga3 0.000 0.321 0.832 x4
Ga4 0.000 0.347 0.437 x4
Ga5 0.000 0.437 0.208 x4
Ge1 0.000 0.110 0.625 x4
Ge2 0.000 0.195 0.006 x4
Ge3 0.000 0.218 0.258 x4
Ge4 0.000 0.421 0.926 x4
Ge5 0.000 0.449 0.633 x4
Ge6 0.000 0.455 0.359 x4

***

Starting from a structure optimized by DFT (PBE), the powder X-ray diffraction pattern of Zn12Ga16Ge was simulated for Cu Kα, 1.54184 Å.
Lines closer than 0.1° are merged.

Main lines, low angle first (2θ from 10° to 90°):
d [Å]	2θ/deg	I/Imax
2.528	35.51	52
2.426	37.06	47
2.375	37.89	47
2.336	38.54	65
2.294	39.28	89
2.247	40.13	46
2.159	41.85	100
2.031	44.61	72
2.003	45.28	70
1.990	45.59	45

Structural model:
Unit cell a=11.887 b=11.188 c=9.418 alpha=90.00 beta=121.72 gamma=90.00
Space group Cm (No. 8)
Inequivalent atoms, fractional coordinates:
Zn1 0.000 0.000 0.000 x2
Zn2 0.007 0.133 0.506 x4
Zn3 0.185 0.131 0.256 x4
Zn4 0.228 0.134 0.806 x4
Zn5 0.424 0.137 0.753 x4
Zn6 0.475 0.500 0.254 x2
Zn7 0.486 0.122 0.071 x4
Ga1 0.132 0.367 0.714 x4
Ga2 0.136 0.500 0.978 x2
Ga3 0.210 0.277 0.507 x4
Ga4 0.214 0.000 0.540 x2
Ga5 0.249 0.000 0.054 x2
Ga6 0.257 0.353 0.238 x4
Ga7 0.354 0.327 0.013 x4
Ga8 0.422 0.000 0.494 x2
Ga9 0.435 0.172 0.301 x4
Ga10 0.491 0.358 0.781 x4
Ge1 0.309 0.500 0.505 x2

***

Starting from a structure optimized by DFT (PBE), the powder X-ray diffraction pattern of ZnGa3Ge was simulated for Cu Kα, 1.54184 Å.
Lines closer than 0.1° are merged.

Main lines, low angle first (2θ from 10° to 90°):
d [Å]	2θ/deg	I/Imax
4.820	18.41	21
3.408	26.15	21
2.783	32.17	74
2.410	37.31	100
2.155	41.91	10
1.704	53.80	68
1.453	64.08	30
1.391	67.29	22
1.205	79.55	10
1.106	88.40	12

Structural model:
Unit cell a=4.820 b=4.820 c=4.820 alpha=90.00 beta=90.00 gamma=90.00
Space group Pm-3m (No. 221)
Inequivalent atoms, fractional coordinates:
Zn1 0.000 0.000 0.000 x1
Ga1 0.000 0.000 0.500 x3
Ge1 0.500 0.500 0.500 x1

***

Starting from a structure optimized by DFT (PBE), the powder X-ray diffraction pattern of Zr4GaGe2 was simulated for Cu Kα, 1.54184 Å.
Lines closer than 0.1° are merged.

Main lines, low angle first (2θ from 10° to 90°):
d [Å]	2θ/deg	I/Imax
4.292	20.69	25
3.035	29.43	83
2.708	33.08	41
2.659	33.71	100
2.290	39.34	68
2.279	39.54	24
2.146	42.10	45
1.822	50.05	28
1.813	50.33	28
1.660	55.35	25

Structural model:
Unit cell a=8.584 b=8.584 c=8.390 alpha=90.00 beta=90.00 gamma=90.00
Space group I4_1/amd (No. 141, origin choice 2)
Inequivalent atoms, fractional coordinates:
Zr1 0.000 0.060 0.190 x16
Ga1 0.000 0.250 0.875 x4
Ge1 0.000 0.000 0.500 x8

***

Starting from a structure optimized by DFT (PBE), the powder X-ray diffraction pattern of Zr4GaGe was simulated for Cu Kα, 1.54184 Å.
Lines closer than 0.1° are merged.

Main lines, low angle first (2θ from 10° to 90°):
d [Å]	2θ/deg	I/Imax
2.624	34.17	100
2.368	38.01	9
2.361	38.11	32
2.116	42.74	67
1.556	59.38	10
1.553	59.53	19
1.426	65.44	16
1.366	68.73	19
1.212	78.97	12
1.146	84.60	11

Structural model:
Unit cell a=6.697 b=6.697 c=5.448 alpha=90.00 beta=90.00 gamma=90.00
Space group P4/mcc (No. 124)
Inequivalent atoms, fractional coordinates:
Zr1 0.154 0.345 0.000 x8
Ga1 0.500 0.500 0.250 x2
Ge1 0.000 0.000 0.250 x2

***

Starting from a structure optimized by DFT (PBE), the powder X-ray diffraction pattern of Ga2H7 was simulated for Cu Kα, 1.54184 Å.
Lines closer than 0.1° are merged.

Main lines, low angle first (2θ from 10° to 90°):
d [Å]	2θ/deg	I/Imax
3.076	29.02	100
2.175	41.51	79
1.776	51.45	30
1.538	60.16	14
1.376	68.16	34
1.256	75.73	26

Structural model:
Unit cell a=6.153 b=6.153 c=6.153 alpha=90.00 beta=90.00 gamma=90.00
Space group Fm-3m (No. 225)
Inequivalent atoms, fractional coordinates:
Ga1 0.250 0.250 0.250 x8
H1 0.000 0.000 0.000 x4
H2 0.000 0.000 0.251 x24

***

Starting from a structure optimized by DFT (PBE), the powder X-ray diffraction pattern of GaH was simulated for Cu Kα, 1.54184 Å.
Lines closer than 0.1° are merged.

Main lines, low angle first (2θ from 10° to 90°):
d [Å]	2θ/deg	I/Imax
3.778	23.55	100
3.758	23.67	24
3.226	27.65	16
2.330	38.63	17
2.312	38.95	17
2.301	39.15	38
1.972	46.02	33
1.950	46.57	19
1.495	62.06	15
1.448	64.36	14

Structural model:
Unit cell a=4.624 b=6.451 c=4.661 alpha=90.00 beta=90.00 gamma=90.00
Space group Ima2 (No. 46)
Inequivalent atoms, fractional coordinates:
Ga1 0.250 0.070 0.000 x4
H1 0.250 0.192 0.334 x4

***

Starting from a structure optimized by DFT (PBE), the powder X-ray diffraction pattern of GaH2 was simulated for Cu Kα, 1.54184 Å.
Lines closer than 0.1° are merged.

Main lines, low angle first (2θ from 10° to 90°):
d [Å]	2θ/deg	I/Imax
6.061	14.61	100
3.031	29.47	22
2.448	36.70	12
2.418	37.18	12
2.335	38.55	11
2.278	39.57	9
2.263	39.84	9
2.257	39.94	9
2.235	40.35	8
2.183	41.37	8

Structural model:
Unit cell a=2.719 b=2.753 c=6.062 alpha=90.18 beta=90.63 gamma=117.20
Space group P-1 (No. 2)
Inequivalent atoms, fractional coordinates:
Ga1 0.000 0.000 0.000 x1
H1 0.006 0.004 0.563 x2

***

Starting from a structure optimized by DFT (PBE), the powder X-ray diffraction pattern of GaH2 was simulated for Cu Kα, 1.54184 Å.
Lines closer than 0.1° are merged.

Main lines, low angle first (2θ from 10° to 90°):
d [Å]	2θ/deg	I/Imax
3.354	26.57	100
2.858	31.29	34
2.372	37.94	36
2.176	41.51	60
1.825	49.97	34
1.677	54.73	14
1.500	61.85	18
1.446	64.41	16
1.328	70.96	23
1.315	71.80	11

Structural model:
Unit cell a=3.354 b=3.354 c=2.858 alpha=90.00 beta=90.00 gamma=90.00
Space group P-4m2 (No. 115)
Inequivalent atoms, fractional coordinates:
Ga1 0.000 0.000 0.000 x1
H1 0.000 0.500 0.190 x2

***

Starting from a structure optimized by DFT (PBE), the powder X-ray diffraction pattern of GaH was simulated for Cu Kα, 1.54184 Å.
Lines closer than 0.1° are merged.

Main lines, low angle first (2θ from 10° to 90°):
d [Å]	2θ/deg	I/Imax
3.636	24.48	43
3.591	24.79	100
3.402	26.20	64
2.555	35.12	37
2.279	39.54	31
2.051	44.16	77
1.924	47.23	35
1.701	53.91	21
1.596	57.79	35
1.360	69.04	16

Structural model:
Unit cell a=4.559 b=7.182 c=7.272 alpha=90.00 beta=90.00 gamma=90.00
Space group Fmmm (No. 69)
Inequivalent atoms, fractional coordinates:
Ga1 0.000 0.000 0.183 x8
H1 0.000 0.162 0.000 x8